1.
Starting from a PBE-relaxed structure, the XRD peak list of Na2TbTeS4 was simulated for Cu Kα (weighted mean of Kα1 and Kα2).
Neutral-atom scattering factors, no anomalous dispersion.

Top 10 peaks for 10 to 90 degrees two-theta, sorted by position:
| 2θ/deg | I_rel |
| --- | --- |
| 13.00 | 100 |
| 13.64 | 48 |
| 26.17 | 38 |
| 27.48 | 32 |
| 29.34 | 73 |
| 31.83 | 60 |
| 32.01 | 60 |
| 42.10 | 29 |
| 43.97 | 46 |
| 45.76 | 42 |

Structure:
```
data_Na2TbTeS4
_chemical_formula_sum 'Na4 Tb2 Te2 S8'
_space_group_name_H-M_alt 'P 1'
_space_group_IT_number 1
_space_group_name_Hall 'P 1'
_cell_length_a 7.942
_cell_length_b 7.942
_cell_length_c 7.996
_cell_angle_alpha 117.40
_cell_angle_beta 117.40
_cell_angle_gamma 89.52
loop_
_atom_site_label
_atom_site_type_symbol
_atom_site_fract_x
_atom_site_fract_y
_atom_site_fract_z
Na1 Na 0.000 0.000 0.000
Na2 Na 0.000 0.000 0.500
Na3 Na 0.000 0.500 0.000
Na4 Na 0.500 0.000 0.500
Tb1 Tb 0.500 0.500 0.000
Tb2 Tb 0.500 0.500 0.500
Te1 Te 0.000 0.500 0.500
Te2 Te 0.500 0.000 0.000
S1 S 0.225 0.715 0.475
S2 S 0.265 0.284 0.540
S3 S 0.284 0.265 0.040
S4 S 0.285 0.775 0.025
S5 S 0.715 0.225 0.975
S6 S 0.716 0.735 0.960
S7 S 0.735 0.716 0.460
S8 S 0.775 0.285 0.525
```

2.
Starting from a PBE-relaxed structure, the XRD peak list of NaTbTm4S8 was simulated for Cu Kα (weighted mean of Kα1 and Kα2).
Neutral-atom scattering factors, no anomalous dispersion.

Top 10 peaks for 10 to 90 degrees two-theta, sorted by position:
| 2θ/deg | I_rel |
| --- | --- |
| 13.44 | 15 |
| 13.54 | 36 |
| 15.62 | 18 |
| 25.95 | 32 |
| 26.08 | 100 |
| 27.28 | 23 |
| 31.55 | 50 |
| 41.40 | 46 |
| 45.08 | 41 |
| 45.35 | 41 |

Structure:
```
data_NaTbTm4S8
_chemical_formula_sum 'Na1 Tb1 Tm4 S8'
_space_group_name_H-M_alt 'P 1'
_space_group_IT_number 1
_space_group_name_Hall 'P 1'
_cell_length_a 8.045
_cell_length_b 8.045
_cell_length_c 8.045
_cell_angle_alpha 59.62
_cell_angle_beta 59.62
_cell_angle_gamma 59.62
loop_
_atom_site_label
_atom_site_type_symbol
_atom_site_fract_x
_atom_site_fract_y
_atom_site_fract_z
Na1 Na 0.000 0.000 0.000
Tb1 Tb 0.369 0.369 0.369
Tm1 Tm 0.369 0.369 0.888
Tm2 Tm 0.369 0.888 0.369
Tm3 Tm 0.748 0.748 0.748
Tm4 Tm 0.888 0.369 0.369
S1 S 0.132 0.132 0.591
S2 S 0.132 0.591 0.132
S3 S 0.136 0.136 0.136
S4 S 0.146 0.619 0.618
S5 S 0.591 0.132 0.132
S6 S 0.616 0.616 0.616
S7 S 0.619 0.146 0.619
S8 S 0.619 0.619 0.146
```

What did the first record say?
Starting from a PBE-relaxed structure, the XRD peak list of Na2TbTeS4 was simulated for Cu Kα (weighted mean of Kα1 and Kα2).
Neutral-atom scattering factors, no anomalous dispersion.

Top 10 peaks for 10 to 90 degrees two-theta, sorted by position:
| 2θ/deg | I_rel |
| --- | --- |
| 13.00 | 100 |
| 13.64 | 48 |
| 26.17 | 38 |
| 27.48 | 32 |
| 29.34 | 73 |
| 31.83 | 60 |
| 32.01 | 60 |
| 42.10 | 29 |
| 43.97 | 46 |
| 45.76 | 42 |

Structure:
```
data_Na2TbTeS4
_chemical_formula_sum 'Na4 Tb2 Te2 S8'
_space_group_name_H-M_alt 'P 1'
_space_group_IT_number 1
_space_group_name_Hall 'P 1'
_cell_length_a 7.942
_cell_length_b 7.942
_cell_length_c 7.996
_cell_angle_alpha 117.40
_cell_angle_beta 117.40
_cell_angle_gamma 89.52
loop_
_atom_site_label
_atom_site_type_symbol
_atom_site_fract_x
_atom_site_fract_y
_atom_site_fract_z
Na1 Na 0.000 0.000 0.000
Na2 Na 0.000 0.000 0.500
Na3 Na 0.000 0.500 0.000
Na4 Na 0.500 0.000 0.500
Tb1 Tb 0.500 0.500 0.000
Tb2 Tb 0.500 0.500 0.500
Te1 Te 0.000 0.500 0.500
Te2 Te 0.500 0.000 0.000
S1 S 0.225 0.715 0.475
S2 S 0.265 0.284 0.540
S3 S 0.284 0.265 0.040
S4 S 0.285 0.775 0.025
S5 S 0.715 0.225 0.975
S6 S 0.716 0.735 0.960
S7 S 0.735 0.716 0.460
S8 S 0.775 0.285 0.525
```